Entry 1:
Computed XRD peak list
Compound: Sc4PtPbO
Radiation: Cu Kα X-rays
Structure: a structure optimized by DFT (PBE)
Peak positions follow from Bragg's law for the DFT cell and can differ from measured ones.

Structure:
```
Sc4PtPbO
1.0
3.060 -7.313 0.000
3.060 7.313 0.000
0.000 0.000 6.132
Sc Pt Pb O
8 2 2 2
Direct
0.000 0.500 0.000
0.000 0.500 0.500
0.060 0.940 0.750
0.409 0.591 0.750
0.500 0.000 0.000
0.500 0.000 0.500
0.591 0.409 0.250
0.940 0.060 0.250
0.121 0.879 0.250
0.879 0.121 0.750
0.394 0.606 0.250
0.606 0.394 0.750
0.256 0.744 0.750
0.744 0.256 0.250
```

The 10 most intense peaks (2θ = 10–90°), by angle:
d_spacing	I/Imax
4.153	76
3.656	30
3.238	73
3.063	79
2.424	25
2.348	100
2.166	61
1.882	26
1.800	29
1.283	29



Entry 2:
Computed XRD peak list
Compound: Sr4Pt4PbO11
Radiation: Cu Kα X-rays
Structure: a structure optimized by DFT (PBE)
Peak positions follow from Bragg's law for the DFT cell and can differ from measured ones.

Structure:
```
Sr4Pt4PbO11
1.0
5.762 0.000 0.000
0.016 10.127 0.000
0.062 0.091 10.235
Sr Pt Pb O
8 8 2 22
Direct
0.248 0.033 0.105
0.248 0.383 0.013
0.250 0.124 0.452
0.251 0.466 0.372
0.749 0.534 0.628
0.750 0.876 0.548
0.752 0.617 0.987
0.752 0.967 0.895
0.249 0.123 0.775
0.249 0.371 0.681
0.250 0.797 0.394
0.252 0.707 0.148
0.748 0.293 0.852
0.750 0.203 0.606
0.751 0.629 0.319
0.751 0.877 0.225
0.287 0.744 0.775
0.713 0.256 0.225
0.003 0.332 0.542
0.004 0.568 0.193
0.008 0.939 0.350
0.011 0.172 0.914
0.245 0.945 0.867
0.254 0.631 0.967
0.320 0.252 0.234
0.488 0.170 0.913
0.494 0.938 0.353
0.498 0.430 0.807
0.499 0.333 0.543
0.501 0.667 0.457
0.502 0.570 0.193
0.506 0.062 0.647
0.512 0.830 0.087
0.680 0.748 0.766
0.746 0.369 0.033
0.755 0.055 0.133
0.989 0.828 0.086
0.992 0.061 0.650
0.996 0.432 0.807
0.997 0.668 0.458
```

The 10 most intense peaks (2θ = 10–90°), by angle:
d_spacing	I/Imax
7.231	47
7.167	43
3.219	40
2.944	41
2.928	45
2.913	100
2.881	86
2.543	34
2.523	66
1.669	32



Entry 3:
Computed XRD peak list
Compound: Pu2PbO2
Radiation: Cu Kα X-rays
Structure: a structure optimized by DFT (PBE)
Peak positions follow from Bragg's law for the DFT cell and can differ from measured ones.

Structure:
```
Pu2PbO2
1.0
0.000 5.150 5.558
3.497 0.000 5.558
3.497 5.150 0.000
Pu Pb O
4 2 4
Direct
0.049 0.701 0.049
0.299 0.951 0.299
0.701 0.049 0.701
0.951 0.299 0.951
0.375 0.375 0.375
0.625 0.625 0.625
0.007 0.007 0.743
0.257 0.257 0.993
0.743 0.743 0.007
0.993 0.993 0.257
```

The 10 most intense peaks (2θ = 10–90°), by angle:
d_spacing	I/Imax
2.970	94
2.960	100
2.779	39
2.369	59
1.900	27
1.803	26
1.711	22
1.640	17
1.637	19
1.348	17



Entry 4:
Computed XRD peak list
Compound: Pu2PbO
Radiation: Cu Kα X-rays
Structure: a structure optimized by DFT (PBE)
Peak positions follow from Bragg's law for the DFT cell and can differ from measured ones.

Structure:
```
Pu2PbO
1.0
5.281 0.000 0.000
0.000 13.267 0.000
0.000 0.000 5.594
Pu Pb O
8 4 4
Direct
0.242 0.095 0.000
0.242 0.905 0.500
0.258 0.405 0.000
0.258 0.595 0.500
0.742 0.405 0.500
0.742 0.595 0.000
0.758 0.095 0.500
0.758 0.905 0.000
0.250 0.250 0.500
0.250 0.750 0.000
0.750 0.250 0.000
0.750 0.750 0.500
0.000 0.000 0.250
0.000 0.000 0.750
0.500 0.500 0.250
0.500 0.500 0.750
```

The 10 most intense peaks (2θ = 10–90°), by angle:
d_spacing	I/Imax
2.899	100
2.797	22
2.640	19
2.211	10
1.920	17
1.735	11
1.695	10
1.634	19
1.570	17
1.450	11



Entry 5:
Computed XRD peak list
Compound: Pu3PbO8
Radiation: Cu Kα X-rays
Structure: a structure optimized by DFT (PBE)
Peak positions follow from Bragg's law for the DFT cell and can differ from measured ones.

Structure:
```
Pu3PbO8
1.0
3.455 1.995 6.170
-3.455 1.995 6.170
0.000 -3.989 6.170
Pu Pb O
3 1 8
Direct
0.000 0.500 0.500
0.500 0.000 0.500
0.500 0.500 0.000
0.500 0.500 0.500
0.252 0.252 0.672
0.252 0.672 0.252
0.278 0.278 0.278
0.328 0.748 0.748
0.672 0.252 0.252
0.722 0.722 0.722
0.748 0.328 0.748
0.748 0.748 0.328
```

The 10 most intense peaks (2θ = 10–90°), by angle:
d_spacing	I/Imax
6.170	60
5.694	100
3.148	21
3.085	25
3.014	38
2.953	22
2.847	54
2.512	64
1.830	22
1.727	21



Entry 6:
Computed XRD peak list
Compound: RbPuPbO6
Radiation: Cu Kα X-rays
Structure: a structure optimized by DFT (PBE)
Peak positions follow from Bragg's law for the DFT cell and can differ from measured ones.

Structure:
```
RbPuPbO6
1.0
-3.757 4.028 5.627
3.757 -4.028 5.627
3.757 4.028 -5.627
Rb Pu Pb O
2 2 2 12
Direct
0.348 0.098 0.250
0.652 0.902 0.750
0.000 0.500 0.500
0.500 0.500 0.000
0.000 0.000 0.500
0.000 0.500 0.000
0.070 0.432 0.266
0.070 0.804 0.638
0.085 0.835 0.250
0.301 0.551 0.750
0.334 0.196 0.766
0.334 0.568 0.138
0.666 0.432 0.862
0.666 0.804 0.234
0.699 0.449 0.250
0.915 0.165 0.750
0.930 0.196 0.362
0.930 0.568 0.734
```

The 10 most intense peaks (2θ = 10–90°), by angle:
d_spacing	I/Imax
6.550	74
6.249	77
3.401	42
3.385	100
3.356	36
3.275	77
3.259	60
3.125	91
1.966	67
1.693	32



Entry 7:
Computed XRD peak list
Compound: PuSnPbO6
Radiation: Cu Kα X-rays
Structure: a structure optimized by DFT (PBE)
Peak positions follow from Bragg's law for the DFT cell and can differ from measured ones.

Structure:
```
PuSnPbO6
1.0
5.583 0.000 0.000
-2.792 4.835 0.000
0.000 0.000 10.724
Pu Sn Pb O
2 2 2 12
Direct
0.333 0.667 0.250
0.667 0.333 0.750
0.333 0.667 0.750
0.667 0.333 0.250
0.000 0.000 0.000
0.000 0.000 0.500
0.003 0.369 0.145
0.003 0.634 0.355
0.366 0.369 0.355
0.366 0.997 0.145
0.369 0.003 0.645
0.369 0.366 0.855
0.631 0.634 0.145
0.631 0.997 0.355
0.634 0.003 0.855
0.634 0.631 0.645
0.997 0.366 0.645
0.997 0.631 0.855
```

The 10 most intense peaks (2θ = 10–90°), by angle:
d_spacing	I/Imax
3.591	100
2.792	46
2.681	12
2.204	26
1.934	45
1.730	26
1.676	11
1.612	14
1.381	11
1.301	11



Entry 8:
Computed XRD peak list
Compound: PuTc2PbO8
Radiation: Cu Kα X-rays
Structure: a structure optimized by DFT (PBE)
Peak positions follow from Bragg's law for the DFT cell and can differ from measured ones.

Structure:
```
PuTc2PbO8
1.0
2.706 1.562 7.380
-2.706 1.562 7.380
0.000 -3.124 7.380
Pu Tc Pb O
1 2 1 8
Direct
0.000 0.000 0.000
0.250 0.250 0.250
0.750 0.750 0.750
0.500 0.500 0.500
0.058 0.405 0.718
0.169 0.169 0.169
0.282 0.942 0.595
0.405 0.718 0.058
0.595 0.282 0.942
0.718 0.058 0.405
0.831 0.831 0.831
0.942 0.595 0.282
```

The 10 most intense peaks (2θ = 10–90°), by angle:
d_spacing	I/Imax
4.316	17
3.577	100
2.706	48
2.383	34
2.158	26
1.788	14
1.687	24
1.562	13
1.524	20
1.492	16